1.
Structure and computed powder diffractogram of SrCaIr (DFT lattice parameters and positions (GGA-PBE); Cu Kα (λ = 1.5418 Å)).

Most intense lines, 2θ = 10–90°, in order of falling intensity:
| d (Å) | I_rel |
| --- | --- |
| 2.702 | 100.0 |
| 2.236 | 57.6 |
| 6.005 | 49.4 |
| 4.402 | 48.8 |
| 3.467 | 47.4 |
| 2.848 | 40.7 |

Cell and atoms:
a b c (Å): 6.9339 6.9339 12.9423
angles (deg): 90.00 90.00 120.00
Atoms (fractional coordinates):
Sr (0.0000, 0.0000, 0.0000)
Sr (0.0000, 0.0000, 0.3333)
Sr (0.0000, 0.0000, 0.6667)
Sr (0.0000, 0.5000, 0.1667)
Sr (0.5000, 0.0000, 0.5000)
Sr (0.5000, 0.5000, 0.8333)
Ca (0.0000, 0.5000, 0.4587)
Ca (0.0000, 0.5000, 0.8747)
Ca (0.5000, 0.0000, 0.2080)
Ca (0.5000, 0.0000, 0.7920)
Ca (0.5000, 0.5000, 0.1253)
Ca (0.5000, 0.5000, 0.5413)
Ir (0.2107, 0.6054, 0.6667)
Ir (0.3946, 0.6054, 0.3333)
Ir (0.3946, 0.7893, 0.0000)
Ir (0.6054, 0.2107, 0.0000)
Ir (0.6054, 0.3946, 0.3333)
Ir (0.7893, 0.3946, 0.6667)


2.
Structure and computed powder diffractogram of CaTc2Ir2 (DFT lattice parameters and positions (GGA-PBE); Cu Kα (λ = 1.5418 Å)).

Most intense lines, 2θ = 10–90°, in order of falling intensity:
| d (Å) | I_rel |
| --- | --- |
| 2.165 | 100.0 |
| 2.462 | 40.9 |
| 5.505 | 35.9 |
| 2.254 | 23.7 |
| 1.888 | 21.3 |
| 3.482 | 20.5 |

Cell and atoms:
a b c (Å): 7.7857 7.7857 2.7642
angles (deg): 90.00 90.00 90.00
Atoms (fractional coordinates):
Ca (0.0000, 0.0000, 0.0000)
Ca (0.5000, 0.5000, 0.0000)
Tc (0.1184, 0.3816, 0.0000)
Tc (0.3816, 0.8816, 0.0000)
Tc (0.6184, 0.1184, 0.0000)
Tc (0.8816, 0.6184, 0.0000)
Ir (0.1718, 0.6718, 0.5000)
Ir (0.3282, 0.1718, 0.5000)
Ir (0.6718, 0.8282, 0.5000)
Ir (0.8282, 0.3282, 0.5000)


3.
Structure and computed powder diffractogram of Ca2TeIr2 (DFT lattice parameters and positions (GGA-PBE); Cu Kα (λ = 1.5418 Å)).

Most intense lines, 2θ = 10–90°, in order of falling intensity:
| d (Å) | I_rel |
| --- | --- |
| 2.586 | 100.0 |
| 4.459 | 77.9 |
| 2.244 | 38.2 |
| 2.005 | 33.8 |
| 3.174 | 33.4 |
| 2.229 | 25.7 |

Cell and atoms:
a b c (Å): 7.0969 7.0969 4.4586
angles (deg): 90.00 90.00 90.00
Atoms (fractional coordinates):
Ca (0.1734, 0.3266, 0.0000)
Ca (0.3266, 0.8266, 0.0000)
Ca (0.6734, 0.1734, 0.0000)
Ca (0.8266, 0.6734, 0.0000)
Te (0.0000, 0.0000, 0.5000)
Te (0.5000, 0.5000, 0.5000)
Ir (0.1261, 0.6261, 0.5000)
Ir (0.3739, 0.1261, 0.5000)
Ir (0.6261, 0.8739, 0.5000)
Ir (0.8739, 0.3739, 0.5000)